This entry pairs a crystal structure of BaYCuNiO5 with its theoretical X-ray diffraction stick pattern. Radiation: a wavelength of 1.5418 Å. Structure: DFT lattice parameters and positions (PBE+U).

Most intense lines, 15 to 90 degrees two-theta, in order of rising 2θ:
2θ/deg	I (rel.)
32.59	43
33.07	100
46.75	30
58.46	38
59.38	20
69.40	12

Atomic structure:
```
BaYCuNiO5
1.0
3.8858 0.0000 0.0000
0.0000 3.8858 0.0000
0.0000 0.0000 7.5548
Ba Y Cu Ni O
1 1 1 1 5
direct
0.0000 0.0000 0.0000
0.0000 0.0000 0.5020
0.5000 0.5000 0.2660
0.5000 0.5000 0.7353
0.0000 0.5000 0.3120
0.0000 0.5000 0.6856
0.5000 0.0000 0.3120
0.5000 0.0000 0.6856
0.5000 0.5000 0.9966
```


This entry pairs a crystal structure of Li4V2Co3Ni3O16 with its theoretical X-ray diffraction stick pattern. Radiation: a wavelength of 1.5418 Å. Structure: DFT lattice parameters and positions (PBE+U).

Most intense lines, 15 to 90 degrees two-theta, in order of rising 2θ:
2θ/deg	I (rel.)
18.97	100
19.97	49
20.13	62
36.93	44
46.66	41
63.73	35

Atomic structure:
```
Li4V2Co3Ni3O16
1.0
5.0769 -2.8915 0.0000
5.0769 2.8915 0.0000
-0.2068 0.0000 9.3565
Li V Co Ni O
4 2 3 3 16
direct
0.0000 0.0000 0.0000
0.0021 0.0021 0.5059
0.3231 0.3231 0.4080
0.6585 0.6585 0.9102
0.3469 0.3469 0.9966
0.6618 0.6618 0.5089
0.1703 0.1703 0.7323
0.3399 0.8288 0.2253
0.8288 0.3399 0.2253
0.1650 0.6530 0.7213
0.6530 0.1650 0.7213
0.8257 0.8257 0.2228
0.0060 0.0060 0.3122
0.0055 0.0055 0.8073
0.0357 0.4551 0.8584
0.1601 0.1601 0.1159
0.1713 0.6538 0.1012
0.3153 0.3153 0.6180
0.3476 0.8253 0.6011
0.4551 0.0357 0.8584
0.4730 0.4730 0.8676
0.4986 0.9500 0.3527
0.5158 0.5158 0.3424
0.6501 0.6501 0.1205
0.6538 0.1713 0.1012
0.8226 0.8226 0.5861
0.8253 0.3476 0.6011
0.9500 0.4986 0.3527
```